Theoretical PXRD pattern of Nb2P3O12 for copper Kα, from a PBE-relaxed structure.
Intensities are scaled so that the largest is 100.

Most intense lines, 10° ≤ 2θ ≤ 90°, by intensity:
h k l, Position (°2θ), intensity
0 1 1, 19.47, 100
-1 2 1, 23.35, 70
-2 1 1, 20.15, 69
0 1 -1, 13.97, 55
2 0 0, 28.13, 45
1 -2 2, 31.10, 33
-2 1 3, 31.22, 26
0 3 -1, 35.27, 25

Structural model:
a = 8.811 Å, b = 8.814 Å, c = 9.114 Å
α = 90.19°, β = 118.67°, γ = 119.97°
Space group P-1 (No. 2)
Asymmetric unit:
Nb 0.213 0.358 0.071 (multiplicity 2)
Nb 0.215 0.859 0.574 (multiplicity 2)
P 0.003 0.034 0.253 (multiplicity 2)
P 0.281 0.532 0.751 (multiplicity 2)
P 0.282 0.752 0.247 (multiplicity 2)
O 0.089 0.362 0.587 (multiplicity 2)
O 0.095 0.734 0.082 (multiplicity 2)
O 0.138 0.926 0.725 (multiplicity 2)
O 0.141 0.011 0.423 (multiplicity 2)
O 0.142 0.144 0.904 (multiplicity 2)
O 0.149 0.197 0.218 (multiplicity 2)
O 0.266 0.511 0.912 (multiplicity 2)
O 0.274 0.574 0.222 (multiplicity 2)
O 0.279 0.784 0.411 (multiplicity 2)
O 0.291 0.707 0.717 (multiplicity 2)
O 0.482 0.554 0.788 (multiplicity 2)
O 0.487 0.917 0.274 (multiplicity 2)

Theoretical PXRD pattern of Nb9PO25 for copper Kα, from a PBE-relaxed structure.
Intensities are scaled so that the largest is 100.

Most intense lines, 10° ≤ 2θ ≤ 90°, by intensity:
h k l, Position (°2θ), intensity
4 2 0, 25.00, 100
1 0 1, 23.61, 50
3 2 1, 30.68, 46
3 1 0, 17.61, 31
7 4 1, 51.96, 29
7 3 0, 43.26, 24
2 1 1, 26.17, 22
4 2 2, 53.84, 19

Structural model:
a = 15.926 Å, b = 15.926 Å, c = 3.878 Å
α = 90.00°, β = 90.00°, γ = 90.00°
Space group I-4 (No. 82)
Asymmetric unit:
Nb 0.000 0.000 0.000 (multiplicity 2)
Nb 0.110 0.782 0.007 (multiplicity 8)
Nb 0.113 0.329 0.005 (multiplicity 8)
P 0.000 0.500 0.750 (multiplicity 2)
O 0.000 0.000 0.500 (multiplicity 2)
O 0.011 0.279 0.012 (multiplicity 8)
O 0.052 0.563 0.532 (multiplicity 8)
O 0.054 0.884 0.002 (multiplicity 8)
O 0.113 0.748 0.510 (multiplicity 8)
O 0.145 0.345 0.490 (multiplicity 8)
O 0.175 0.220 0.981 (multiplicity 8)